Entry 1:
Diffraction record for Ce4Sm. The powder diffractogram is simulated, not measured: it uses a structure optimized by DFT (PBE) and λ = 1.5418 Å (Cu Kα).
Lines closer than 0.1° are merged.

Structure:
abc: 3.391 3.391 41.680
angles: 90.00 90.00 120.00
Element x y z (fractional)
Ce  0.000  0.000  0.097
Ce  0.000  0.000  0.301
Ce  0.000  0.000  0.699
Ce  0.000  0.000  0.903
Ce  0.333  0.667  0.366
Ce  0.333  0.667  0.570
Ce  0.333  0.667  0.764
Ce  0.333  0.667  0.967
Ce  0.667  0.333  0.033
Ce  0.667  0.333  0.236
Ce  0.667  0.333  0.430
Ce  0.667  0.333  0.634
Sm  0.000  0.000  0.500
Sm  0.333  0.667  0.167
Sm  0.667  0.333  0.833

The 10 most intense peaks (2θ from 10° to 90°), low angle first:
two_theta	d_spacing	I (rel.)
32.2	2.779	32.6
32.3	2.770	100.0
37.5	2.401	66.3
54.0	1.700	22.0
54.1	1.695	23.3
64.2	1.450	12.5
64.4	1.447	40.2
67.7	1.385	11.6
79.9	1.200	7.0
89.0	1.100	11.7


Entry 2:
Diffraction record for CoSb. The powder diffractogram is simulated, not measured: it uses a structure optimized by DFT (PBE) and λ = 1.5418 Å (Cu Kα).
Lines closer than 0.1° are merged.

Structure:
abc: 3.874 3.874 5.206
angles: 90.00 90.00 120.00
Element x y z (fractional)
Co  0.000  0.000  0.000
Co  0.000  0.000  0.500
Sb  0.333  0.667  0.250
Sb  0.667  0.333  0.750

The 10 most intense peaks (2θ from 10° to 90°), low angle first:
two_theta	d_spacing	I (rel.)
31.7	2.820	100.0
44.0	2.057	54.4
46.9	1.937	50.3
57.7	1.597	17.7
60.0	1.541	15.7
66.3	1.410	15.1
77.5	1.232	14.9
79.5	1.206	7.0
85.1	1.140	14.9
87.2	1.118	8.1


Entry 3:
Diffraction record for Sm2In3Cu. The powder diffractogram is simulated, not measured: it uses a structure optimized by DFT (PBE) and λ = 1.5418 Å (Cu Kα).
Lines closer than 0.1° are merged.

Structure:
abc: 3.713 4.792 8.338
angles: 90.00 90.00 90.00
Element x y z (fractional)
Sm  0.000  0.000  0.000
Sm  0.000  0.500  0.488
In  0.500  0.000  0.639
In  0.500  0.500  0.175
In  0.500  0.500  0.829
Cu  0.500  0.000  0.322

The 10 most intense peaks (2θ from 10° to 90°), low angle first:
two_theta	d_spacing	I (rel.)
32.3	2.773	48.0
32.3	2.768	100.0
37.4	2.404	64.7
37.5	2.396	32.7
49.1	1.857	15.0
50.2	1.818	14.4
50.3	1.813	26.9
63.3	1.469	39.9
64.3	1.449	24.4
64.5	1.445	13.4


Entry 4:
Diffraction record for ScNbNi2Sn2. The powder diffractogram is simulated, not measured: it uses a structure optimized by DFT (PBE) and λ = 1.5418 Å (Cu Kα).
Lines closer than 0.1° are merged.

Structure:
abc: 7.451 7.451 7.451
angles: 33.40 33.40 33.40
Element x y z (fractional)
Sc  0.000  0.000  0.000
Nb  0.498  0.498  0.498
Ni  0.378  0.378  0.378
Ni  0.871  0.871  0.871
Sn  0.249  0.249  0.249
Sn  0.750  0.750  0.750

The 10 most intense peaks (2θ from 10° to 90°), low angle first:
two_theta	d_spacing	I (rel.)
25.5	3.498	40.2
29.4	3.033	64.5
42.1	2.149	100.0
42.2	2.141	100.0
49.9	1.828	19.2
52.3	1.749	13.4
61.1	1.517	32.5
76.7	1.242	16.2
77.1	1.238	33.0
77.2	1.236	16.6